[1]
This entry pairs a crystal structure of InCu3Mo5 with its theoretical PXRD pattern. Radiation: Cu Kα, 1.54184 Å. Structure: the GGA-PBE geometry in OQMD.

Structural model:
Unit cell a=7.6806 b=7.6806 c=2.7091 alpha=90.00 beta=90.00 gamma=120.00
Fractional positions:
In  0.0000  0.0000  0.0000
Cu  0.0000  0.6444  0.0000
Cu  0.3556  0.3556  0.0000
Cu  0.6444  0.0000  0.0000
Mo  0.0000  0.3304  0.5000
Mo  0.3304  0.0000  0.5000
Mo  0.3333  0.6667  0.5000
Mo  0.6667  0.3333  0.5000
Mo  0.6696  0.6696  0.5000

Peak list (10 most intense, 2θ from 5° to 70°, by angle)
| 2θ (°) | d (Å) | I_rel |
| --- | --- | --- |
| 23.16 | 3.840 | 4.6 |
| 33.07 | 2.709 | 1.6 |
| 35.78 | 2.509 | 11.7 |
| 40.72 | 2.216 | 100.0 |
| 43.07 | 2.100 | 11.0 |
| 49.46 | 1.843 | 11.3 |
| 53.40 | 1.716 | 2.7 |
| 58.96 | 1.567 | 11.1 |
| 60.73 | 1.525 | 3.8 |
| 69.38 | 1.355 | 4.2 |


[2]
This entry pairs a crystal structure of HfZrIn2Ag2 with its theoretical PXRD pattern. Radiation: Cu Kα, 1.54184 Å. Structure: the GGA-PBE geometry in OQMD.

Structural model:
Unit cell a=9.1693 b=4.5840 c=13.7486 alpha=90.00 beta=109.47 gamma=90.00
Fractional positions:
Hf  0.0000  0.0000  0.0000
Hf  0.1252  0.5000  0.7503
Hf  0.2502  0.0000  0.5003
Hf  0.4997  0.0000  0.9998
Zr  0.3750  0.5000  0.2498
Zr  0.6247  0.5000  0.7498
Zr  0.7495  0.0000  0.4998
Zr  0.8747  0.5000  0.2500
In  0.0003  0.5000  0.5002
In  0.1245  0.0000  0.2493
In  0.2494  0.5000  0.9991
In  0.3746  0.0000  0.7500
In  0.4999  0.5000  0.5007
In  0.6248  0.0000  0.2498
In  0.7499  0.5000  0.0000
In  0.8757  0.0000  0.7508
Ag  0.0616  0.5000  0.1231
Ag  0.1876  0.0000  0.8750
Ag  0.3103  0.5000  0.6245
Ag  0.4359  0.0000  0.3758
Ag  0.5613  0.5000  0.1230
Ag  0.6880  0.0000  0.8766
Ag  0.8149  0.5000  0.6261
Ag  0.9398  0.0000  0.3759

Peak list (10 most intense, 2θ from 5° to 70°, by angle)
| 2θ (°) | d (Å) | I_rel |
| --- | --- | --- |
| 6.82 | 12.962 | 1.5 |
| 10.23 | 8.645 | 1.3 |
| 23.77 | 3.743 | 24.8 |
| 27.52 | 3.241 | 18.8 |
| 39.31 | 2.292 | 100.0 |
| 46.46 | 1.955 | 11.9 |
| 48.66 | 1.871 | 5.3 |
| 56.81 | 1.621 | 16.6 |
| 62.45 | 1.487 | 4.7 |
| 64.26 | 1.450 | 7.0 |


[3]
This entry pairs a crystal structure of NdZnNO with its theoretical PXRD pattern. Radiation: Cu Kα, 1.54184 Å. Structure: the GGA-PBE geometry in OQMD.

Structural model:
Unit cell a=3.7511 b=6.0610 c=5.4097 alpha=90.00 beta=90.00 gamma=90.00
Fractional positions:
Nd  0.0000  0.2091  0.0000
Nd  0.0000  0.7909  0.5000
Zn  0.5000  0.2974  0.5022
Zn  0.5000  0.7026  0.0022
N  0.0000  0.1747  0.4485
N  0.0000  0.8253  0.9485
O  0.5000  0.3817  0.8756
O  0.5000  0.6183  0.3756

Peak list (10 most intense, 2θ from 5° to 70°, by angle)
| 2θ (°) | d (Å) | I_rel |
| --- | --- | --- |
| 22.02 | 4.036 | 16.9 |
| 27.97 | 3.190 | 12.5 |
| 29.47 | 3.030 | 33.7 |
| 32.59 | 2.748 | 100.0 |
| 33.12 | 2.705 | 35.1 |
| 44.92 | 2.018 | 21.5 |
| 48.54 | 1.876 | 13.4 |
| 51.38 | 1.778 | 16.1 |
| 54.29 | 1.690 | 15.6 |
| 58.83 | 1.570 | 22.3 |


[4]
This entry pairs a crystal structure of TcO2F3 with its theoretical PXRD pattern. Radiation: Cu Kα, 1.54184 Å. Structure: the GGA-PBE geometry in OQMD.

Structural model:
Unit cell a=7.2807 b=7.4007 c=10.9204 alpha=89.13 beta=89.01 gamma=84.53
Fractional positions:
Tc  0.2301  0.0520  0.3926
Tc  0.2426  0.0769  0.8724
Tc  0.2462  0.4630  0.6195
Tc  0.2619  0.4657  0.0972
Tc  0.7381  0.5343  0.9028
Tc  0.7538  0.5370  0.3805
Tc  0.7574  0.9231  0.1276
Tc  0.7699  0.9480  0.6074
O  0.0519  0.4036  0.1339
O  0.1884  0.0266  0.0188
O  0.2082  0.6435  0.5248
O  0.2531  0.8504  0.3228
O  0.2701  0.8743  0.8041
O  0.3285  0.5534  0.7456
O  0.3332  0.5489  0.2293
O  0.4072  0.1582  0.3344
O  0.5928  0.8418  0.6656
O  0.6668  0.4511  0.7707
O  0.6715  0.4466  0.2544
O  0.7299  0.1257  0.1959
O  0.7469  0.1496  0.6772
O  0.7918  0.3565  0.4752
O  0.8116  0.9734  0.9812
O  0.9481  0.5964  0.8661
F  0.0000  0.0000  0.5000
F  0.0028  0.1464  0.8230
F  0.0047  0.4426  0.6694
F  0.0423  0.1610  0.2945
F  0.1548  0.2948  0.4875
F  0.1958  0.6795  0.0125
F  0.2174  0.3537  0.9233
F  0.2864  0.2077  0.7085
F  0.3340  0.9755  0.5405
F  0.3945  0.2384  0.1156
F  0.4691  0.3580  0.5551
F  0.4912  0.1140  0.8873
F  0.5000  0.5000  0.0000
F  0.5088  0.8860  0.1127
F  0.5309  0.6420  0.4449
F  0.6055  0.7616  0.8844
F  0.6660  0.0245  0.4595
F  0.7136  0.7923  0.2915
F  0.7826  0.6463  0.0767
F  0.8042  0.3205  0.9875
F  0.8452  0.7052  0.5125
F  0.9577  0.8390  0.7055
F  0.9953  0.5574  0.3306
F  0.9972  0.8536  0.1770

Peak list (10 most intense, 2θ from 5° to 70°, by angle)
| 2θ (°) | d (Å) | I_rel |
| --- | --- | --- |
| 16.30 | 5.439 | 21.1 |
| 17.97 | 4.936 | 19.9 |
| 22.84 | 3.893 | 70.3 |
| 23.36 | 3.808 | 74.4 |
| 24.16 | 3.683 | 39.6 |
| 24.31 | 3.662 | 100.0 |
| 24.57 | 3.623 | 61.4 |
| 29.06 | 3.073 | 26.2 |
| 32.81 | 2.730 | 17.5 |
| 41.96 | 2.153 | 20.6 |


[5]
This entry pairs a crystal structure of KSmYNi2 with its theoretical PXRD pattern. Radiation: Cu Kα, 1.54184 Å. Structure: the GGA-PBE geometry in OQMD.

Structural model:
Unit cell a=3.7616 b=4.0679 c=17.6531 alpha=90.00 beta=90.00 gamma=90.00
Fractional positions:
K  0.0000  0.0000  0.0000
K  0.0000  0.5000  0.5000
Sm  0.5000  0.0000  0.3330
Sm  0.5000  0.5000  0.8330
Y  0.5000  0.0000  0.6651
Y  0.5000  0.5000  0.1651
Ni  0.0000  0.0000  0.2057
Ni  0.0000  0.0000  0.7895
Ni  0.0000  0.5000  0.2895
Ni  0.0000  0.5000  0.7057

Peak list (10 most intense, 2θ from 5° to 70°, by angle)
| 2θ (°) | d (Å) | I_rel |
| --- | --- | --- |
| 10.02 | 8.827 | 100.0 |
| 26.64 | 3.346 | 20.0 |
| 30.38 | 2.942 | 16.0 |
| 31.24 | 2.863 | 20.5 |
| 32.82 | 2.729 | 26.7 |
| 35.92 | 2.500 | 43.6 |
| 41.51 | 2.175 | 27.6 |
| 44.55 | 2.034 | 11.5 |
| 48.40 | 1.881 | 9.0 |
| 51.74 | 1.767 | 12.0 |


[6]
This entry pairs a crystal structure of DyCuB3 with its theoretical PXRD pattern. Radiation: Cu Kα, 1.54184 Å. Structure: the GGA-PBE geometry in OQMD.

Structural model:
Unit cell a=6.8828 b=6.8828 c=5.1787 alpha=90.00 beta=90.00 gamma=120.00
Fractional positions:
Dy  0.3333  0.6667  0.2500
Dy  0.6667  0.3333  0.7500
Cu  0.0000  0.0000  0.0000
Cu  0.0000  0.0000  0.5000
B  0.1285  0.2571  0.2500
B  0.1285  0.8715  0.2500
B  0.2571  0.1285  0.7500
B  0.7429  0.8715  0.2500
B  0.8715  0.1285  0.7500
B  0.8715  0.7429  0.7500

Peak list (10 most intense, 2θ from 5° to 70°, by angle)
| 2θ (°) | d (Å) | I_rel |
| --- | --- | --- |
| 22.75 | 3.909 | 100.0 |
| 25.89 | 3.441 | 90.5 |
| 34.72 | 2.584 | 28.3 |
| 37.88 | 2.375 | 25.4 |
| 43.81 | 2.066 | 45.6 |
| 45.66 | 1.987 | 18.6 |
| 46.46 | 1.955 | 18.0 |
| 53.23 | 1.721 | 13.8 |
| 53.95 | 1.700 | 22.4 |
| 58.61 | 1.575 | 15.9 |


[7]
This entry pairs a crystal structure of Ba3CdHgBi4 with its theoretical PXRD pattern. Radiation: Cu Kα, 1.54184 Å. Structure: the GGA-PBE geometry in OQMD.

Structural model:
Unit cell a=9.4545 b=9.4545 c=7.8721 alpha=110.99 beta=110.99 gamma=30.97
Fractional positions:
Ba  0.0000  0.0000  0.0000
Ba  0.1392  0.1392  0.6109
Ba  0.8577  0.8577  0.3892
Cd  0.3335  0.3335  0.0255
Hg  0.6619  0.6619  0.9697
Bi  0.2065  0.2065  0.2059
Bi  0.4915  0.4915  0.6847
Bi  0.5037  0.5037  0.3113
Bi  0.7924  0.7924  0.7930

Peak list (10 most intense, 2θ from 5° to 70°, by angle)
| 2θ (°) | d (Å) | I_rel |
| --- | --- | --- |
| 20.95 | 4.241 | 29.2 |
| 23.65 | 3.761 | 34.3 |
| 25.62 | 3.477 | 34.8 |
| 29.02 | 3.077 | 44.6 |
| 29.27 | 3.051 | 100.0 |
| 29.41 | 3.037 | 26.9 |
| 29.56 | 3.022 | 72.4 |
| 31.74 | 2.820 | 35.0 |
| 35.57 | 2.524 | 59.5 |
| 38.36 | 2.346 | 34.6 |


[8]
This entry pairs a crystal structure of AcCuI with its theoretical PXRD pattern. Radiation: Cu Kα, 1.54184 Å. Structure: the GGA-PBE geometry in OQMD.

Structural model:
Unit cell a=7.5827 b=4.4205 c=12.8061 alpha=90.00 beta=91.60 gamma=90.00
Fractional positions:
Ac  0.0207  0.0000  0.3410
Ac  0.4793  0.5000  0.6590
Ac  0.5207  0.5000  0.3410
Ac  0.9793  0.0000  0.6590
Cu  0.1663  0.5000  0.5007
Cu  0.3337  0.0000  0.4993
Cu  0.6663  0.0000  0.5007
Cu  0.8337  0.5000  0.4993
I  0.1786  0.5000  0.1606
I  0.3214  0.0000  0.8394
I  0.6786  0.0000  0.1606
I  0.8214  0.5000  0.8394

Peak list (10 most intense, 2θ from 5° to 70°, by angle)
| 2θ (°) | d (Å) | I_rel |
| --- | --- | --- |
| 6.91 | 12.801 | 100.0 |
| 24.23 | 3.673 | 30.3 |
| 24.68 | 3.607 | 27.3 |
| 27.02 | 3.300 | 37.3 |
| 31.18 | 2.869 | 69.5 |
| 31.66 | 2.826 | 44.7 |
| 32.02 | 2.795 | 20.5 |
| 36.90 | 2.436 | 19.4 |
| 40.83 | 2.210 | 19.7 |
| 41.15 | 2.194 | 35.0 |